Entry 1:
This entry pairs a crystal structure of MnSb2O2F8 with its calculated X-ray powder pattern. Radiation: Cu Kα. Structure: a DFT-relaxed cell (PBE+U, the Materials Project).

The 6 most intense peaks (5 to 70 degrees two-theta), in order of rising 2θ:
Position (°2θ), I_rel, h k l
13.6, 100, 1 0 0
20.5, 71, 1 0 -2
23.6, 59, 1 1 -2
24.1, 47, 1 1 1
25.2, 62, 0 1 2
27.0, 64, 1 2 0

Cell and atoms:
Lattice parameters (Å, degrees): 7.252 7.643 8.844 90.00 115.80 90.00
Fractional coordinates of all 26 atoms:
Mn1 0.000 0.000 0.000
Mn2 0.000 0.500 0.500
Sb1 0.443 0.199 0.642
Sb2 0.443 0.301 0.142
Sb3 0.557 0.699 0.858
Sb4 0.557 0.801 0.358
O1 0.069 0.574 0.341
O2 0.069 0.926 0.841
O3 0.931 0.074 0.159
O4 0.931 0.426 0.659
F1 0.125 0.235 0.002
F2 0.125 0.265 0.502
F3 0.289 0.562 0.680
F4 0.289 0.938 0.180
F5 0.353 0.538 0.061
F6 0.353 0.962 0.561
F7 0.357 0.166 0.822
F8 0.357 0.334 0.322
F9 0.643 0.666 0.678
F10 0.643 0.834 0.178
F11 0.647 0.038 0.439
F12 0.647 0.462 0.939
F13 0.711 0.062 0.820
F14 0.711 0.438 0.320
F15 0.875 0.735 0.498
F16 0.875 0.765 0.998

Entry 2:
This entry pairs a crystal structure of MnSiO6F6 with its calculated X-ray powder pattern. Radiation: Cu Kα. Structure: a DFT-relaxed cell (PBE+U, the Materials Project).

The 6 most intense peaks (5 to 70 degrees two-theta), in order of rising 2θ:
Position (°2θ), I_rel, h k l
19.5, 100, 1 1 0
24.5, 34, 0 1 2
37.3, 35, 3 -2 2
51.5, 14, 0 4 2
54.4, 10, 2 1 4
62.1, 10, 4 -3 4

Cell and atoms:
Lattice parameters (Å, degrees): 9.097 9.097 8.188 90.00 90.00 120.00
Fractional coordinates of all 42 atoms:
Mn1 0.000 0.000 0.000
Mn2 0.333 0.667 0.644
Mn3 0.667 0.333 0.356
Si1 0.000 0.000 0.500
Si2 0.333 0.667 0.173
Si3 0.667 0.333 0.827
O1 0.054 0.192 0.122
O2 0.137 0.946 0.122
O3 0.141 0.575 0.799
O4 0.191 0.476 0.562
O5 0.192 0.137 0.878
O6 0.285 0.809 0.562
O7 0.425 0.566 0.799
O8 0.434 0.859 0.799
O9 0.476 0.285 0.438
O10 0.524 0.715 0.562
O11 0.566 0.141 0.201
O12 0.575 0.434 0.201
O13 0.715 0.191 0.438
O14 0.808 0.863 0.122
O15 0.809 0.524 0.438
O16 0.859 0.425 0.201
O17 0.863 0.054 0.878
O18 0.946 0.808 0.878
F1 0.031 0.864 0.621
F2 0.136 0.168 0.621
F3 0.162 0.535 0.292
F4 0.168 0.031 0.379
F5 0.202 0.706 0.051
F6 0.294 0.496 0.051
F7 0.373 0.838 0.292
F8 0.465 0.627 0.292
F9 0.496 0.202 0.949
F10 0.504 0.798 0.051
F11 0.535 0.373 0.708
F12 0.627 0.162 0.708
F13 0.706 0.504 0.949
F14 0.798 0.294 0.949
F15 0.832 0.969 0.621
F16 0.838 0.465 0.708
F17 0.864 0.832 0.379
F18 0.969 0.136 0.379

Entry 3:
This entry pairs a crystal structure of Mn3SiO4F2 with its calculated X-ray powder pattern. Radiation: Cu Kα. Structure: a DFT-relaxed cell (PBE+U, the Materials Project).

The 6 most intense peaks (5 to 70 degrees two-theta), in order of rising 2θ:
Position (°2θ), I_rel, h k l
27.6, 100, 1 2 1
32.0, 61, 3 1 1
33.1, 26, 2 3 0
36.2, 26, 3 2 1
50.1, 59, 2 3 2
58.6, 33, 6 3 0

Cell and atoms:
Lattice parameters (Å, degrees): 10.961 9.323 4.926 90.00 90.00 90.00
Fractional coordinates of all 40 atoms:
Mn1 0.088 0.250 0.007
Mn2 0.138 0.570 0.486
Mn3 0.138 0.930 0.486
Mn4 0.362 0.070 0.986
Mn5 0.362 0.430 0.986
Mn6 0.412 0.750 0.507
Mn7 0.588 0.250 0.493
Mn8 0.638 0.570 0.014
Mn9 0.638 0.930 0.014
Mn10 0.862 0.070 0.514
Mn11 0.862 0.430 0.514
Mn12 0.912 0.750 0.993
Si1 0.221 0.750 0.921
Si2 0.279 0.250 0.421
Si3 0.721 0.750 0.579
Si4 0.779 0.250 0.079
O1 0.083 0.750 0.785
O2 0.209 0.110 0.279
O3 0.209 0.390 0.279
O4 0.223 0.750 0.253
O5 0.277 0.250 0.753
O6 0.291 0.610 0.779
O7 0.291 0.890 0.779
O8 0.417 0.250 0.285
O9 0.583 0.750 0.715
O10 0.709 0.110 0.221
O11 0.709 0.390 0.221
O12 0.723 0.750 0.247
O13 0.777 0.250 0.747
O14 0.791 0.610 0.721
O15 0.791 0.890 0.721
O16 0.917 0.250 0.215
F1 0.032 0.083 0.732
F2 0.032 0.417 0.732
F3 0.468 0.583 0.232
F4 0.468 0.917 0.232
F5 0.532 0.083 0.768
F6 0.532 0.417 0.768
F7 0.968 0.583 0.268
F8 0.968 0.917 0.268